The following is a calculated XRD peak list of Cs2CrBr5. It was derived from the GGA-PBE geometry in Alexandria, using a wavelength of 1.5418 Å.

Main lines, sorted by position (5° ≤ 2θ ≤ 70°):
d/Å  2theta  intensity  (hkl)
3.223  27.68  57  1 2 2
3.186  28.01  61  3 0 1
3.074  29.05  36  2 0 4
3.012  29.66  64  1 0 5
2.935  30.45  100  1 2 3
2.797  31.99  66  2 2 2
2.602  34.47  32  2 2 3
1.911  47.58  37  4 2 3

Cell and atoms:
```
Cs2CrBr5
1.0
9.7576 0.0000 0.0000
0.0000 7.5689 0.0000
0.0000 0.0000 15.8325
Cs Cr Br
8 4 20
Direct
0.0251 0.2500 0.2035
0.1703 0.7500 0.4193
0.3297 0.2500 0.9193
0.4749 0.7500 0.7035
0.5251 0.2500 0.2965
0.6703 0.7500 0.0807
0.8297 0.2500 0.5807
0.9749 0.7500 0.7965
0.1711 0.7500 0.0628
0.3289 0.2500 0.5628
0.6711 0.7500 0.4372
0.8289 0.2500 0.9372
0.0000 0.0000 0.0000
0.0000 0.5000 0.0000
0.0291 0.7500 0.1934
0.1785 0.0141 0.6175
0.1785 0.4859 0.6175
0.2051 0.2500 0.4211
0.2949 0.7500 0.9211
0.3215 0.5141 0.1175
0.3215 0.9859 0.1175
0.4709 0.2500 0.6934
0.5000 0.0000 0.5000
0.5000 0.5000 0.5000
0.5291 0.7500 0.3066
0.6785 0.0141 0.8825
0.6785 0.4859 0.8825
0.7051 0.2500 0.0789
0.7949 0.7500 0.5789
0.8215 0.5141 0.3825
0.8215 0.9859 0.3825
0.9709 0.2500 0.8066
```

***

The following is a calculated XRD peak list of Cs2CrHgBr6. It was derived from the GGA-PBE geometry in Alexandria, using a wavelength of 1.5418 Å.

Main lines, sorted by position (5° ≤ 2θ ≤ 70°):
d/Å  2theta  intensity  (hkl)
3.926  22.65  91  1 2 1
3.205  27.83  69  2 2 0
2.783  32.17  48  0 4 0
2.773  32.29  96  2 0 2
2.548  35.23  26  1 3 2
2.267  39.77  39  3 2 1
1.963  46.25  100  4 0 0
1.603  57.50  33  4 4 0

Cell and atoms:
```
Cs2CrHgBr6
1.0
7.8423 0.0000 0.0000
0.0000 11.1304 0.0000
0.0000 0.0000 7.8429
Cs Cr Hg Br
4 2 2 12
Direct
0.2500 0.0000 0.2499
0.2500 0.5000 0.2499
0.7500 0.0000 0.7501
0.7500 0.5000 0.7501
0.2500 0.2500 0.7503
0.7500 0.7500 0.2497
0.2500 0.7500 0.7499
0.7500 0.2500 0.2501
0.0174 0.2500 0.5179
0.0176 0.2500 0.9829
0.2500 0.0189 0.7504
0.2500 0.4811 0.7504
0.4824 0.2500 0.9829
0.4826 0.2500 0.5179
0.5174 0.7500 0.4821
0.5177 0.7500 0.0171
0.7500 0.5189 0.2496
0.7500 0.9811 0.2496
0.9824 0.7500 0.0171
0.9826 0.7500 0.4821
```